The following is a theoretical X-ray diffraction stick pattern of Sc2Cd2O5. It was derived from the PBE geometry in OQMD, using Cu Kα, 1.54184 Å.
Neutral-atom scattering factors, no anomalous dispersion.

Structural model:
```
data_Sc2Cd2O5
_cell_length_a 3.9725
_cell_length_b 3.9725
_cell_length_c 7.6560
_cell_angle_alpha 90.00
_cell_angle_beta 90.00
_cell_angle_gamma 90.00
_symmetry_space_group_name_H-M 'P 4/m m m'
_symmetry_Int_Tables_number 123
_symmetry_space_group_name_Hall '-P 4 2'
loop_
_atom_site_label
_atom_site_fract_x
_atom_site_fract_y
_atom_site_fract_z
_atom_site_occupancy
Sc1 0.0000 0.0000 0.2427 1
Cd1 0.5000 0.5000 0.0000 1
Cd2 0.5000 0.5000 0.5000 1
O1 0.0000 0.0000 0.5000 1
O2 0.0000 0.5000 0.1911 1
```

Largest 12 diffraction maxima, in order of rising 2θ, 10 to 90 degrees two-theta:
(1 0 0), 22.4 deg, intensity 20
(1 1 0), 31.9 deg, intensity 42
(1 0 2), 32.5 deg, intensity 100
(1 1 2), 39.8 deg, intensity 26
(2 0 0), 45.7 deg, intensity 32
(0 0 4), 47.5 deg, intensity 10
(2 1 2), 57.2 deg, intensity 37
(1 1 4), 58.3 deg, intensity 20
(2 2 0), 66.6 deg, intensity 9
(2 0 4), 68.0 deg, intensity 13
(3 0 2), 76.1 deg, intensity 8
(1 0 6), 78.8 deg, intensity 7

The following is a theoretical X-ray diffraction stick pattern of Cd3Se3O10. It was derived from the PBE geometry in OQMD, using Cu Kα, 1.54184 Å.
Neutral-atom scattering factors, no anomalous dispersion.

Structural model:
```
data_Cd3Se3O10
_cell_length_a 8.2322
_cell_length_b 5.3320
_cell_length_c 10.8257
_cell_angle_alpha 90.00
_cell_angle_beta 108.83
_cell_angle_gamma 90.00
_symmetry_space_group_name_H-M 'P 1 21 1'
_symmetry_Int_Tables_number 4
loop_
_symmetry_equiv_pos_as_xyz
'x,y,z'
'-x,y+1/2,-z'
loop_
_atom_site_label
_atom_site_fract_x
_atom_site_fract_y
_atom_site_fract_z
_atom_site_occupancy
Cd1 0.0053 0.0000 0.1288 1
Cd2 0.0261 0.5119 0.3847 1
Cd3 0.3688 0.4775 0.1974 1
Se1 0.2577 0.9804 0.9530 1
Se2 0.2845 0.0330 0.4352 1
Se3 0.3443 0.4926 0.7174 1
O1 0.0849 0.8807 0.8226 1
O2 0.1232 0.1482 0.4914 1
O3 0.1644 0.2220 0.0192 1
O4 0.1676 0.8209 0.3160 1
O5 0.2092 0.3315 0.7740 1
O6 0.2248 0.7507 0.0556 1
O7 0.2458 0.6765 0.5921 1
O8 0.2746 0.2929 0.3390 1
O9 0.4616 0.6766 0.8421 1
O10 0.4743 0.2920 0.6749 1
```

Largest 12 diffraction maxima, in order of rising 2θ, 10 to 90 degrees two-theta:
(1 0 0), 11.4 deg, intensity 15
(2 0 -2), 23.8 deg, intensity 12
(1 1 2), 29.1 deg, intensity 100
(2 1 -2), 29.2 deg, intensity 93
(1 0 -4), 33.1 deg, intensity 24
(0 2 0), 33.6 deg, intensity 25
(3 0 0), 34.5 deg, intensity 14
(1 2 -4), 47.9 deg, intensity 32
(3 2 0), 49.0 deg, intensity 18
(0 1 6), 56.6 deg, intensity 17
(3 1 -6), 56.8 deg, intensity 11
(1 3 2), 57.4 deg, intensity 25

The following is a theoretical X-ray diffraction stick pattern of SrCdSeO. It was derived from the PBE geometry in OQMD, using Cu Kα, 1.54184 Å.
Neutral-atom scattering factors, no anomalous dispersion.

Structural model:
```
data_SrCdSeO
_cell_length_a 7.5133
_cell_length_b 7.6424
_cell_length_c 13.0702
_cell_angle_alpha 90.00
_cell_angle_beta 90.00
_cell_angle_gamma 90.00
_symmetry_space_group_name_H-M 'P b c a'
_symmetry_Int_Tables_number 61
loop_
_symmetry_equiv_pos_as_xyz
'x,y,z'
'-x,-y,-z'
'-x+1/2,-y,z+1/2'
'x+1/2,y,-z+1/2'
'x+1/2,-y+1/2,-z'
'-x+1/2,y+1/2,z'
'-x,y+1/2,-z+1/2'
'x,-y+1/2,z+1/2'
loop_
_atom_site_label
_atom_site_fract_x
_atom_site_fract_y
_atom_site_fract_z
_atom_site_occupancy
Sr1 0.1259 0.0611 0.2164 1
Cd1 0.0351 0.7200 0.0476 1
Se1 0.2330 0.5308 0.4579 1
O1 0.1067 0.7376 0.2097 1
```

Largest 12 diffraction maxima, in order of rising 2θ, 10 to 90 degrees two-theta:
(0 0 2), 13.5 deg, intensity 54
(1 1 2), 21.4 deg, intensity 57
(0 2 1), 24.3 deg, intensity 43
(0 0 4), 27.3 deg, intensity 100
(1 0 4), 29.8 deg, intensity 63
(1 1 4), 32.1 deg, intensity 70
(2 2 0), 33.4 deg, intensity 91
(2 1 3), 33.6 deg, intensity 38
(2 2 2), 36.2 deg, intensity 85
(1 2 4), 38.2 deg, intensity 46
(3 0 2), 38.5 deg, intensity 32
(4 0 2), 50.6 deg, intensity 38

The following is a theoretical X-ray diffraction stick pattern of SrCdSeO. It was derived from the PBE geometry in OQMD, using Cu Kα, 1.54184 Å.
Neutral-atom scattering factors, no anomalous dispersion.

Structural model:
```
data_SrCdSeO
_cell_length_a 6.6997
_cell_length_b 6.9219
_cell_length_c 7.3951
_cell_angle_alpha 90.00
_cell_angle_beta 90.00
_cell_angle_gamma 90.00
_symmetry_space_group_name_H-M 'P 21 21 21'
_symmetry_Int_Tables_number 19
loop_
_symmetry_equiv_pos_as_xyz
'x,y,z'
'-x+1/2,-y,z+1/2'
'x+1/2,-y+1/2,-z'
'-x,y+1/2,-z+1/2'
loop_
_atom_site_label
_atom_site_fract_x
_atom_site_fract_y
_atom_site_fract_z
_atom_site_occupancy
Sr1 0.1743 0.0678 0.2945 1
Cd1 0.1814 0.4203 0.5860 1
Se1 0.0774 0.3301 0.9213 1
O1 0.0763 0.8213 0.0769 1
```

Largest 12 diffraction maxima, in order of rising 2θ, 10 to 90 degrees two-theta:
(0 1 2), 27.3 deg, intensity 36
(0 2 1), 28.5 deg, intensity 72
(1 2 0), 29.0 deg, intensity 23
(2 1 0), 29.6 deg, intensity 45
(1 1 2), 30.5 deg, intensity 93
(2 1 1), 32.1 deg, intensity 100
(1 2 2), 38.1 deg, intensity 28
(2 1 2), 38.5 deg, intensity 37
(1 0 3), 38.9 deg, intensity 27
(2 2 1), 39.4 deg, intensity 35
(1 1 3), 41.1 deg, intensity 35
(4 0 1), 56.3 deg, intensity 54

The following is a theoretical X-ray diffraction stick pattern of Sr2ZnCdSe2O2. It was derived from the PBE geometry in OQMD, using Cu Kα, 1.54184 Å.
Neutral-atom scattering factors, no anomalous dispersion.

Structural model:
```
data_Sr2ZnCdSe2O2
_cell_length_a 4.0714
_cell_length_b 4.0714
_cell_length_c 12.2870
_cell_angle_alpha 90.00
_cell_angle_beta 90.00
_cell_angle_gamma 120.00
_symmetry_space_group_name_H-M 'P 3 m 1'
_symmetry_Int_Tables_number 156
loop_
_symmetry_equiv_pos_as_xyz
'x,y,z'
'-y,x-y,z'
'-x+y,-x,z'
'-y,-x,z'
'-x+y,y,z'
'x,x-y,z'
loop_
_atom_site_label
_atom_site_fract_x
_atom_site_fract_y
_atom_site_fract_z
_atom_site_occupancy
Sr1 0.0000 0.0000 0.0000 1
Sr2 0.3333 0.6667 0.5211 1
Zn1 0.6667 0.3333 0.7322 1
Cd1 0.6667 0.3333 0.2326 1
Se1 0.0000 0.0000 0.3327 1
Se2 0.3333 0.6667 0.8088 1
O1 0.6667 0.3333 0.0571 1
O2 0.6667 0.3333 0.5767 1
```

Largest 12 diffraction maxima, in order of rising 2θ, 10 to 90 degrees two-theta:
(1 0 1), 26.3 deg, intensity 70
(0 0 4), 29.1 deg, intensity 34
(0 1 2), 29.2 deg, intensity 97
(0 1 3), 33.5 deg, intensity 100
(1 0 4), 38.9 deg, intensity 28
(1 1 0), 44.5 deg, intensity 86
(1 0 6), 51.6 deg, intensity 41
(1 1 4), 54.1 deg, intensity 51
(2 0 3), 56.9 deg, intensity 21
(0 2 6), 70.5 deg, intensity 15
(1 2 3), 74.9 deg, intensity 19
(2 1 6), 87.3 deg, intensity 18

The following is a theoretical X-ray diffraction stick pattern of Cd6SnO8. It was derived from the PBE geometry in OQMD, using Cu Kα, 1.54184 Å.
Neutral-atom scattering factors, no anomalous dispersion.

Structural model:
```
data_Cd6SnO8
_cell_length_a 9.3974
_cell_length_b 9.3974
_cell_length_c 9.3974
_cell_angle_alpha 90.00
_cell_angle_beta 90.00
_cell_angle_gamma 90.00
_symmetry_space_group_name_H-M 'F m -3 m'
_symmetry_Int_Tables_number 225
_symmetry_space_group_name_Hall '-F 4 2 3'
loop_
_atom_site_label
_atom_site_fract_x
_atom_site_fract_y
_atom_site_fract_z
_atom_site_occupancy
Cd1 0.0000 0.2500 0.2500 1
Sn1 0.0000 0.0000 0.0000 1
O1 0.0000 0.0000 0.2238 1
O2 0.2500 0.2500 0.2500 1
```

Largest 12 diffraction maxima, in order of rising 2θ, 10 to 90 degrees two-theta:
(1 1 1), 16.3 deg, intensity 23
(2 0 0), 18.9 deg, intensity 8
(2 2 0), 26.8 deg, intensity 6
(3 1 1), 31.6 deg, intensity 10
(2 2 2), 33.0 deg, intensity 100
(4 0 0), 38.3 deg, intensity 94
(5 1 1), 50.5 deg, intensity 5
(4 4 0), 55.3 deg, intensity 59
(5 3 1), 58.1 deg, intensity 5
(6 2 2), 65.9 deg, intensity 43
(4 4 4), 69.3 deg, intensity 19
(8 0 0), 82.0 deg, intensity 9

The following is a theoretical X-ray diffraction stick pattern of CdSnO3. It was derived from the PBE geometry in OQMD, using Cu Kα, 1.54184 Å.
Neutral-atom scattering factors, no anomalous dispersion.

Structural model:
```
data_CdSnO3
_cell_length_a 7.9219
_cell_length_b 7.9219
_cell_length_c 7.9219
_cell_angle_alpha 90.00
_cell_angle_beta 90.00
_cell_angle_gamma 90.00
_symmetry_space_group_name_H-M 'I m -3'
_symmetry_Int_Tables_number 204
_symmetry_space_group_name_Hall '-I 2 2 3'
loop_
_atom_site_label
_atom_site_fract_x
_atom_site_fract_y
_atom_site_fract_z
_atom_site_occupancy
Cd1 0.0000 0.0000 0.0000 1
Cd2 0.0000 0.0000 0.5000 1
Sn1 0.2500 0.2500 0.2500 1
O1 0.0000 0.2928 0.1913 1
```

Largest 10 diffraction maxima, in order of rising 2θ, 10 to 90 degrees two-theta:
(2 0 0), 22.4 deg, intensity 1
(2 2 0), 32.0 deg, intensity 100
(3 0 1), 35.8 deg, intensity 1
(3 1 2), 42.7 deg, intensity 1
(4 0 0), 45.8 deg, intensity 26
(4 2 0), 51.6 deg, intensity 1
(4 2 2), 56.9 deg, intensity 45
(4 4 0), 66.8 deg, intensity 15
(6 2 0), 76.0 deg, intensity 18
(4 4 4), 84.8 deg, intensity 5

The following is a theoretical X-ray diffraction stick pattern of Cd3Sn5O12. It was derived from the PBE geometry in OQMD, using Cu Kα, 1.54184 Å.
Neutral-atom scattering factors, no anomalous dispersion.

Structural model:
```
data_Cd3Sn5O12
_cell_length_a 7.9577
_cell_length_b 7.9577
_cell_length_c 7.9577
_cell_angle_alpha 90.00
_cell_angle_beta 90.00
_cell_angle_gamma 90.00
_symmetry_space_group_name_H-M 'I m -3'
_symmetry_Int_Tables_number 204
_symmetry_space_group_name_Hall '-I 2 2 3'
loop_
_atom_site_label
_atom_site_fract_x
_atom_site_fract_y
_atom_site_fract_z
_atom_site_occupancy
Cd1 0.0000 0.0000 0.5000 1
Sn1 0.0000 0.0000 0.0000 1
Sn2 0.2500 0.2500 0.2500 1
O1 0.0000 0.1942 0.2952 1
```

Largest 9 diffraction maxima, in order of rising 2θ, 10 to 90 degrees two-theta:
(2 0 0), 22.3 deg, intensity 1
(2 2 0), 31.8 deg, intensity 100
(3 1 0), 35.7 deg, intensity 1
(3 2 1), 42.5 deg, intensity 1
(4 0 0), 45.6 deg, intensity 26
(4 2 2), 56.7 deg, intensity 46
(4 4 0), 66.5 deg, intensity 15
(6 0 2), 75.6 deg, intensity 18
(4 4 4), 84.3 deg, intensity 5